Calculated powder XRD pattern of ThZnFe2H6 for Cu Kα, from DFT lattice parameters and positions (GGA-PBE).
Intensities are scaled so that the largest is 100.

Top 6 peaks for 10 to 90 degrees two-theta, by angle:
Position (°2θ), I_rel
24.26, 64
26.28, 58
33.23, 100
37.69, 45
41.40, 80
55.28, 42

Crystal structure
```
ThZnFe2H6
1.0
2.181 1.259 5.131
-2.181 1.259 5.131
0.000 -2.518 5.131
Th Zn Fe H
1 1 2 6
Cartesian
0.000 0.000 0.000 Th
0.000 0.000 7.696 Zn
0.000 0.000 3.120 Fe
0.000 0.000 12.273 Fe
-1.141 -0.659 6.121 H
0.000 -1.318 9.272 H
-1.141 0.659 9.272 H
1.141 -0.659 6.121 H
0.000 1.318 6.121 H
1.141 0.659 9.272 H
```